Diffraction record for Ba2LiSmCoCu2O7. The PXRD pattern is theoretical, not measured: it uses a DFT-relaxed cell (GGA+U, Alexandria) and Cu Ka.
Lines closer than 0.1° are merged.

Structural model:
```
data_Ba2LiSmCoCu2O7
_chemical_formula_sum 'Ba2 Li1 Sm1 Co1 Cu2 O7'
_space_group_name_H-M_alt 'P m m 2'
_space_group_IT_number 25
_space_group_name_Hall 'P 2 -2'
_cell_length_a 3.8248
_cell_length_b 12.7774
_cell_length_c 4.0140
_cell_angle_alpha 90.00
_cell_angle_beta 90.00
_cell_angle_gamma 90.00
loop_
_atom_site_label
_atom_site_type_symbol
_atom_site_fract_x
_atom_site_fract_y
_atom_site_fract_z
Ba1 Ba 0.0000 0.2150 0.0000
Li1 Li 0.0000 0.0000 0.8475
Sm1 Sm 0.0000 0.5000 0.9922
Co1 Co 0.5000 0.0000 0.4275
Cu1 Cu 0.5000 0.3791 0.4928
O1 O 0.0000 0.3827 0.4918
O2 O 0.5000 0.0000 0.9411
O3 O 0.5000 0.1444 0.4531
O4 O 0.5000 0.3804 0.9925
```

Principal peaks in the range 2θ = 15–90°, sorted by position:
two_theta	d (Å)	Rel. int.
30.60	2.921	61
31.44	2.846	68
32.33	2.769	100
35.93	2.499	47
36.65	2.452	38
38.79	2.322	23
45.18	2.007	30
47.55	1.912	29
56.07	1.640	27
67.68	1.384	21

---

Diffraction record for Ba2LiSmCoCu2O7. The PXRD pattern is theoretical, not measured: it uses a DFT-relaxed cell (GGA+U, Alexandria) and Cu Ka.
Lines closer than 0.1° are merged.

Structural model:
```
data_Ba2LiSmCoCu2O7
_chemical_formula_sum 'Ba2 Li1 Sm1 Co1 Cu2 O7'
_space_group_name_H-M_alt 'P 1 m 1'
_space_group_IT_number 6
_space_group_name_Hall 'P -2y'
_cell_length_a 3.9202
_cell_length_b 11.6860
_cell_length_c 4.1899
_cell_angle_alpha 90.00
_cell_angle_beta 91.84
_cell_angle_gamma 90.00
loop_
_atom_site_label
_atom_site_type_symbol
_atom_site_fract_x
_atom_site_fract_y
_atom_site_fract_z
Ba1 Ba 0.0000 0.1756 0.0000
Li1 Li 0.6727 0.5000 0.3052
Sm1 Sm 0.0819 0.5000 0.8850
Co1 Co 0.5039 0.0000 0.4985
Cu1 Cu 0.5055 0.3320 0.4928
O1 O 0.0077 0.3755 0.4601
O2 O 0.5035 0.1548 0.4963
O3 O 0.5077 0.0000 0.9963
O4 O 0.5355 0.3749 0.9839
```

Principal peaks in the range 2θ = 15–90°, sorted by position:
two_theta	d (Å)	Rel. int.
30.75	2.908	40
31.36	2.852	92
31.76	2.817	61
32.41	2.762	100
43.21	2.094	25
46.35	1.959	24
46.63	1.948	22
55.68	1.651	19
57.53	1.602	21
57.66	1.599	18

---

Diffraction record for Ba2LiSmCoCu2O7. The PXRD pattern is theoretical, not measured: it uses a DFT-relaxed cell (GGA+U, Alexandria) and Cu Ka.
Lines closer than 0.1° are merged.

Structural model:
```
data_Ba2LiSmCoCu2O7
_chemical_formula_sum 'Ba2 Li1 Sm1 Co1 Cu2 O7'
_space_group_name_H-M_alt 'P m m 2'
_space_group_IT_number 25
_space_group_name_Hall 'P 2 -2'
_cell_length_a 3.8607
_cell_length_b 3.9696
_cell_length_c 12.9110
_cell_angle_alpha 90.00
_cell_angle_beta 90.00
_cell_angle_gamma 90.00
loop_
_atom_site_label
_atom_site_type_symbol
_atom_site_fract_x
_atom_site_fract_y
_atom_site_fract_z
Ba1 Ba 0.0000 0.0000 0.0000
Ba2 Ba 0.0000 0.0000 0.4346
Li1 Li 0.0000 0.5000 0.1596
Sm1 Sm 0.0000 0.0000 0.7219
Co1 Co 0.5000 0.5000 0.2649
Cu1 Cu 0.5000 0.5000 0.5982
Cu2 Cu 0.5000 0.5000 0.8468
O1 O 0.0000 0.5000 0.6183
O2 O 0.0000 0.5000 0.8528
O3 O 0.5000 0.0000 0.2619
O4 O 0.5000 0.0000 0.6119
O5 O 0.5000 0.0000 0.8479
O6 O 0.5000 0.5000 0.1062
O7 O 0.5000 0.5000 0.4088
```

Principal peaks in the range 2θ = 15–90°, sorted by position:
two_theta	d (Å)	Rel. int.
30.64	2.918	60
31.12	2.874	65
32.35	2.768	100
35.86	2.504	52
36.28	2.476	48
38.68	2.328	23
45.71	1.985	32
47.08	1.930	29
56.33	1.633	24
60.30	1.535	27

---

Diffraction record for Ba2LiSmCoCu2O7. The PXRD pattern is theoretical, not measured: it uses a DFT-relaxed cell (GGA+U, Alexandria) and Cu Ka.
Lines closer than 0.1° are merged.

Structural model:
```
data_Ba2LiSmCoCu2O7
_chemical_formula_sum 'Ba2 Li1 Sm1 Co1 Cu2 O7'
_space_group_name_H-M_alt 'P m m 2'
_space_group_IT_number 25
_space_group_name_Hall 'P 2 -2'
_cell_length_a 3.8495
_cell_length_b 4.0016
_cell_length_c 14.5819
_cell_angle_alpha 90.00
_cell_angle_beta 90.00
_cell_angle_gamma 90.00
loop_
_atom_site_label
_atom_site_type_symbol
_atom_site_fract_x
_atom_site_fract_y
_atom_site_fract_z
Ba1 Ba 0.0000 0.0000 0.0000
Ba2 Ba 0.0000 0.0000 0.2818
Li1 Li 0.0000 0.0000 0.5674
Sm1 Sm 0.0000 0.0000 0.7474
Co1 Co 0.5000 0.5000 0.1512
Cu1 Cu 0.5000 0.5000 0.6194
Cu2 Cu 0.5000 0.5000 0.8519
O1 O 0.0000 0.5000 0.6226
O2 O 0.0000 0.5000 0.8360
O3 O 0.5000 0.0000 0.1531
O4 O 0.5000 0.0000 0.6270
O5 O 0.5000 0.0000 0.8422
O6 O 0.5000 0.5000 0.0271
O7 O 0.5000 0.5000 0.2793
```

Principal peaks in the range 2θ = 15–90°, sorted by position:
two_theta	d (Å)	Rel. int.
28.90	3.089	31
29.60	3.018	35
32.27	2.774	100
33.25	2.695	74
33.87	2.647	80
40.88	2.208	30
45.32	2.001	31
55.11	1.666	36
57.76	1.596	34
58.97	1.566	29

---

Diffraction record for Ba2LiSmCoCu2O7. The PXRD pattern is theoretical, not measured: it uses a DFT-relaxed cell (GGA+U, Alexandria) and Cu Ka.
Lines closer than 0.1° are merged.

Structural model:
```
data_Ba2LiSmCoCu2O7
_chemical_formula_sum 'Ba2 Li1 Sm1 Co1 Cu2 O7'
_space_group_name_H-M_alt 'P m m 2'
_space_group_IT_number 25
_space_group_name_Hall 'P 2 -2'
_cell_length_a 3.8125
_cell_length_b 4.0862
_cell_length_c 13.1107
_cell_angle_alpha 90.00
_cell_angle_beta 90.00
_cell_angle_gamma 90.00
loop_
_atom_site_label
_atom_site_type_symbol
_atom_site_fract_x
_atom_site_fract_y
_atom_site_fract_z
Ba1 Ba 0.0000 0.0000 0.0000
Ba2 Ba 0.0000 0.0000 0.3204
Li1 Li 0.0000 0.5000 0.4754
Sm1 Sm 0.0000 0.0000 0.7170
Co1 Co 0.5000 0.5000 0.1805
Cu1 Cu 0.5000 0.5000 0.6062
Cu2 Cu 0.5000 0.5000 0.8456
O1 O 0.0000 0.5000 0.6122
O2 O 0.0000 0.5000 0.8297
O3 O 0.5000 0.0000 0.1848
O4 O 0.5000 0.0000 0.6036
O5 O 0.5000 0.0000 0.8360
O6 O 0.5000 0.5000 0.0391
O7 O 0.5000 0.5000 0.3427
```

Principal peaks in the range 2θ = 15–90°, sorted by position:
two_theta	d (Å)	Rel. int.
20.32	4.370	28
29.94	2.985	72
31.13	2.873	76
32.11	2.788	100
35.10	2.557	27
36.14	2.485	27
38.30	2.350	40
44.34	2.043	34
47.70	1.907	32
55.16	1.665	29

---

Diffraction record for Ba2PrCoCu2O7. The PXRD pattern is theoretical, not measured: it uses a DFT-relaxed cell (GGA+U, Alexandria) and Cu Ka.
Lines closer than 0.1° are merged.

Structural model:
```
data_Ba2PrCoCu2O7
_chemical_formula_sum 'Ba2 Pr1 Co1 Cu2 O7'
_space_group_name_H-M_alt 'P m m m'
_space_group_IT_number 47
_space_group_name_Hall '-P 2 2'
_cell_length_a 3.9168
_cell_length_b 3.9584
_cell_length_c 11.9174
_cell_angle_alpha 90.00
_cell_angle_beta 90.00
_cell_angle_gamma 90.00
loop_
_atom_site_label
_atom_site_type_symbol
_atom_site_fract_x
_atom_site_fract_y
_atom_site_fract_z
Ba1 Ba 0.0000 0.0000 0.1811
Pr1 Pr 0.0000 0.0000 0.5000
Co1 Co 0.5000 0.5000 0.0000
Cu1 Cu 0.5000 0.5000 0.3527
O1 O 0.0000 0.5000 0.3699
O2 O 0.5000 0.0000 0.0000
O3 O 0.5000 0.0000 0.3695
O4 O 0.5000 0.5000 0.1506
```

Principal peaks in the range 2θ = 15–90°, sorted by position:
two_theta	d (Å)	Rel. int.
22.43	3.965	12
31.92	2.804	46
32.12	2.787	100
39.53	2.280	16
45.68	1.986	10
45.85	1.979	15
46.36	1.958	14
56.95	1.617	17
57.06	1.614	19
57.39	1.606	17

---

Diffraction record for BaSrCoCu2S2O2. The PXRD pattern is theoretical, not measured: it uses a DFT-relaxed cell (GGA+U, Alexandria) and Cu Ka.
Lines closer than 0.1° are merged.

Structural model:
```
data_BaSrCoCu2S2O2
_chemical_formula_sum 'Ba2 Sr2 Co2 Cu4 S4 O4'
_space_group_name_H-M_alt 'I 4 m m'
_space_group_IT_number 107
_space_group_name_Hall 'I 4 -2'
_cell_length_a 3.9515
_cell_length_b 3.9515
_cell_length_c 19.2810
_cell_angle_alpha 90.00
_cell_angle_beta 90.00
_cell_angle_gamma 90.00
loop_
_atom_site_label
_atom_site_type_symbol
_atom_site_fract_x
_atom_site_fract_y
_atom_site_fract_z
Ba1 Ba 0.0000 0.0000 0.0000
Sr1 Sr 0.0000 0.0000 0.1911
Co1 Co 0.0000 0.0000 0.6027
Cu1 Cu 0.0000 0.5000 0.3418
S1 S 0.0000 0.0000 0.4137
S2 S 0.0000 0.0000 0.7694
O1 O 0.0000 0.5000 0.1030
```

Principal peaks in the range 2θ = 15–90°, sorted by position:
two_theta	d (Å)	Rel. int.
22.97	3.871	18
32.03	2.794	15
32.44	2.760	100
33.39	2.684	38
37.19	2.417	52
39.90	2.260	15
45.93	1.976	45
57.35	1.607	43
58.13	1.587	25
76.41	1.247	18

---

Diffraction record for Ba3SrCo2Cu4S4O4. The PXRD pattern is theoretical, not measured: it uses a DFT-relaxed cell (GGA+U, Alexandria) and Cu Ka.
Lines closer than 0.1° are merged.

Structural model:
```
data_Ba3SrCo2Cu4S4O4
_chemical_formula_sum 'Ba3 Sr1 Co2 Cu4 S4 O4'
_space_group_name_H-M_alt 'P 4 m m'
_space_group_IT_number 99
_space_group_name_Hall 'P 4 -2'
_cell_length_a 3.9756
_cell_length_b 3.9756
_cell_length_c 19.5358
_cell_angle_alpha 90.00
_cell_angle_beta 90.00
_cell_angle_gamma 90.00
loop_
_atom_site_label
_atom_site_type_symbol
_atom_site_fract_x
_atom_site_fract_y
_atom_site_fract_z
Ba1 Ba 0.0000 0.0000 0.0000
Ba2 Ba 0.0000 0.0000 0.1980
Ba3 Ba 0.5000 0.5000 0.5093
Sr1 Sr 0.5000 0.5000 0.6968
Co1 Co 0.0000 0.0000 0.6103
Co2 Co 0.5000 0.5000 0.0991
Cu1 Cu 0.0000 0.5000 0.3547
Cu2 Cu 0.0000 0.5000 0.8437
S1 S 0.0000 0.0000 0.4250
S2 S 0.0000 0.0000 0.7728
S3 S 0.5000 0.5000 0.2848
S4 S 0.5000 0.5000 0.9138
O1 O 0.0000 0.5000 0.0992
O2 O 0.0000 0.5000 0.6102
```

Principal peaks in the range 2θ = 15–90°, sorted by position:
two_theta	d (Å)	Rel. int.
22.82	3.896	22
31.83	2.811	16
32.12	2.787	100
33.16	2.702	33
36.88	2.437	55
39.45	2.284	12
45.64	1.988	42
56.90	1.618	37
57.44	1.604	24
66.52	1.406	13

---

Diffraction record for BaSr3Co2Cu4S4O4. The PXRD pattern is theoretical, not measured: it uses a DFT-relaxed cell (GGA+U, Alexandria) and Cu Ka.
Lines closer than 0.1° are merged.

Structural model:
```
data_BaSr3Co2Cu4S4O4
_chemical_formula_sum 'Ba1 Sr3 Co2 Cu4 S4 O4'
_space_group_name_H-M_alt 'P 4 m m'
_space_group_IT_number 99
_space_group_name_Hall 'P 4 -2'
_cell_length_a 4.0298
_cell_length_b 4.0298
_cell_length_c 18.2440
_cell_angle_alpha 90.00
_cell_angle_beta 90.00
_cell_angle_gamma 90.00
loop_
_atom_site_label
_atom_site_type_symbol
_atom_site_fract_x
_atom_site_fract_y
_atom_site_fract_z
Ba1 Ba 0.0000 0.0000 0.0000
Sr1 Sr 0.0000 0.0000 0.8098
Sr2 Sr 0.5000 0.5000 0.3185
Sr3 Sr 0.5000 0.5000 0.5016
Co1 Co 0.0000 0.0000 0.4100
Co2 Co 0.5000 0.5000 0.8876
Cu1 Cu 0.0000 0.5000 0.1634
Cu2 Cu 0.0000 0.5000 0.6578
S1 S 0.0000 0.0000 0.2398
S2 S 0.0000 0.0000 0.5853
S3 S 0.5000 0.5000 0.0914
S4 S 0.5000 0.5000 0.7343
O1 O 0.0000 0.5000 0.4116
O2 O 0.0000 0.5000 0.8976
```

Principal peaks in the range 2θ = 15–90°, sorted by position:
two_theta	d (Å)	Rel. int.
22.60	3.935	15
31.39	2.850	16
32.93	2.720	48
33.12	2.705	100
37.21	2.417	60
41.25	2.188	18
44.99	2.015	58
56.99	1.616	40
60.23	1.536	21
65.52	1.425	17

---

Diffraction record for Ba2SmCoCu2O7. The PXRD pattern is theoretical, not measured: it uses a DFT-relaxed cell (GGA+U, Alexandria) and Cu Ka.
Lines closer than 0.1° are merged.

Structural model:
```
data_Ba2SmCoCu2O7
_chemical_formula_sum 'Ba2 Sm1 Co1 Cu2 O7'
_space_group_name_H-M_alt 'P m m m'
_space_group_IT_number 47
_space_group_name_Hall '-P 2 2'
_cell_length_a 3.8892
_cell_length_b 3.9408
_cell_length_c 11.8789
_cell_angle_alpha 90.00
_cell_angle_beta 90.00
_cell_angle_gamma 90.00
loop_
_atom_site_label
_atom_site_type_symbol
_atom_site_fract_x
_atom_site_fract_y
_atom_site_fract_z
Ba1 Ba 0.0000 0.0000 0.1825
Sm1 Sm 0.0000 0.0000 0.5000
Co1 Co 0.5000 0.5000 0.0000
Cu1 Cu 0.5000 0.5000 0.3573
O1 O 0.0000 0.5000 0.3747
O2 O 0.5000 0.0000 0.0000
O3 O 0.5000 0.0000 0.3739
O4 O 0.5000 0.5000 0.1512
```

Principal peaks in the range 2θ = 15–90°, sorted by position:
two_theta	d (Å)	Rel. int.
32.04	2.793	46
32.30	2.771	100
39.73	2.269	17
45.83	1.980	9
46.06	1.970	15
46.71	1.945	14
57.21	1.610	16
57.35	1.607	19
57.77	1.596	17
67.70	1.384	9

---

Diffraction record for BaSr3Co2Cu2O12. The PXRD pattern is theoretical, not measured: it uses a DFT-relaxed cell (GGA+U, Alexandria) and Cu Ka.
Lines closer than 0.1° are merged.

Structural model:
```
data_BaSr3Co2Cu2O12
_chemical_formula_sum 'Ba4 Sr12 Co8 Cu8 O48'
_space_group_name_H-M_alt 'C m m 2'
_space_group_IT_number 35
_space_group_name_Hall 'C 2 -2'
_cell_length_a 11.0207
_cell_length_b 11.0259
_cell_length_c 7.8981
_cell_angle_alpha 90.00
_cell_angle_beta 90.00
_cell_angle_gamma 90.00
loop_
_atom_site_label
_atom_site_type_symbol
_atom_site_fract_x
_atom_site_fract_y
_atom_site_fract_z
Ba1 Ba 0.0000 0.2494 0.0000
Sr1 Sr 0.0000 0.2495 0.5082
Sr2 Sr 0.2501 0.0000 0.5068
Sr3 Sr 0.2503 0.0000 0.9969
Co1 Co 0.0000 0.5000 0.2563
Co2 Co 0.0000 0.5000 0.7527
Co3 Co 0.2500 0.2500 0.2562
Cu1 Cu 0.0000 0.0000 0.2542
Cu2 Cu 0.0000 0.0000 0.7533
Cu3 Cu 0.2500 0.2500 0.7535
O1 O 0.0000 0.0000 0.0069
O2 O 0.0000 0.0000 0.4989
O3 O 0.0000 0.5000 0.5061
O4 O 0.0000 0.5000 0.9966
O5 O 0.1214 0.3811 0.2574
O6 O 0.1225 0.3788 0.7455
O7 O 0.1276 0.1222 0.7431
O8 O 0.1326 0.1287 0.2587
O9 O 0.2500 0.2500 0.0017
O10 O 0.2500 0.2500 0.5051
```

Principal peaks in the range 2θ = 15–90°, sorted by position:
two_theta	d (Å)	Rel. int.
32.27	2.774	100
32.49	2.756	49
39.89	2.260	17
45.96	1.975	18
46.61	1.949	35
57.41	1.605	19
57.83	1.595	37
67.54	1.387	21
68.04	1.378	10
86.04	1.130	10